No. 1
Simulated powder diffraction line list
Compound: SrSbPd4
Radiation: λ = 1.5418 Å (Cu Kα)
Structure: DFT lattice parameters and positions (PBE)

Cell and atoms:
```
data_SrSbPd4
_chemical_formula_sum 'Sr2 Sb2 Pd8'
_space_group_name_H-M_alt 'P m m a'
_space_group_IT_number 51
_cell_length_a 7.960
_cell_length_b 4.175
_cell_length_c 7.399
_cell_angle_alpha 90.00
_cell_angle_beta 90.00
_cell_angle_gamma 90.00
loop_
_space_group_symop_operation_xyz
'x,y,z'
'-x,-y,-z'
'-x+1/2,-y,z'
'x+1/2,y,-z'
'x+1/2,-y,-z'
'-x+1/2,y,z'
'-x,y,-z'
'x,-y,z'
loop_
_atom_site_label
_atom_site_fract_x
_atom_site_fract_y
_atom_site_fract_z
_atom_site_occupancy
Sr1 0.250 0.000 0.153 1
Sb1 0.250 0.000 0.724 1
Pd1 0.000 0.000 0.500 1
Pd2 0.049 0.500 0.795 1
Pd3 0.250 0.500 0.460 1
```

Main lines, by intensity (2θ from 10° to 90°):
d (Å)  two_theta  I/Imax  hkl
2.273  39.65  100  2 1 2
2.685  33.38  56  2 1 1
2.088  43.34  32  0 2 0
7.399  11.96  29  0 0 1
2.615  34.29  26  1 1 2
2.143  42.16  19  3 1 1
2.466  36.43  18  0 0 3
1.990  45.58  17  4 0 0
1.238  77.02  14  2 3 2
2.356  38.20  14  1 0 3



No. 2
Simulated powder diffraction line list
Compound: Sr2Sb3Pd
Radiation: λ = 1.5418 Å (Cu Kα)
Structure: DFT lattice parameters and positions (PBE)

Cell and atoms:
```
data_Sr2Sb3Pd
_chemical_formula_sum 'Sr2 Sb3 Pd1'
_space_group_name_H-M_alt 'P m m 2'
_space_group_IT_number 25
_cell_length_a 4.528
_cell_length_b 4.759
_cell_length_c 8.662
_cell_angle_alpha 90.00
_cell_angle_beta 90.00
_cell_angle_gamma 90.00
loop_
_space_group_symop_operation_xyz
'x,y,z'
'-x,-y,z'
'-x,y,z'
'x,-y,z'
loop_
_atom_site_label
_atom_site_fract_x
_atom_site_fract_y
_atom_site_fract_z
_atom_site_occupancy
Sr1 0.000 0.000 0.000 1
Sr2 0.000 0.500 0.480 1
Sb1 0.500 0.000 0.608 1
Sb2 0.500 0.500 0.181 1
Sb3 0.500 0.500 0.822 1
Pd1 0.500 0.000 0.305 1
```

Main lines, by intensity (2θ from 10° to 90°):
d (Å)  two_theta  I/Imax  hkl
3.068  29.11  100  1 1 1
2.469  36.40  55  0 1 3
3.130  28.52  47  1 0 2
4.528  19.61  34  1 0 0
1.668  55.04  33  2 1 3
2.379  37.81  30  0 2 0
2.264  39.82  26  2 0 0
1.894  48.03  22  1 2 2
1.640  56.08  19  2 2 0
2.167  41.67  14  1 1 3